Calculated powder XRD pattern of CeBeSiHO5 for a wavelength of 1.5418 Å, from a PBE-relaxed structure.

Main lines, by angle (2θ = 10–90°):
(hkl)	d [Å]	2theta	intensity
0 1 1	5.675	15.6	37
1 0 0	5.117	17.3	56
1 0 -2	4.683	19.0	34
0 0 2	4.445	20.0	61
1 1 1	3.318	26.9	33
1 1 -3	3.076	29.0	44
1 2 0	2.991	29.9	100
2 0 -2	2.924	30.6	37
1 2 -2	2.896	30.9	56
0 1 3	2.750	32.6	65

Structure:
```
CeBeSiHO5
1.0
5.875 0.000 0.000
0.000 7.372 0.000
-5.015 0.000 8.890
Ce Be Si H O
4 4 4 4 20
direct
0.019 0.014 0.316
0.019 0.486 0.816
0.981 0.514 0.184
0.981 0.986 0.684
0.435 0.628 0.535
0.435 0.872 0.035
0.565 0.128 0.965
0.565 0.372 0.465
0.465 0.230 0.690
0.465 0.270 0.190
0.535 0.730 0.810
0.535 0.770 0.310
0.068 0.670 0.503
0.068 0.830 0.003
0.932 0.170 0.997
0.932 0.330 0.497
0.136 0.686 0.434
0.136 0.814 0.934
0.222 0.677 0.720
0.222 0.823 0.220
0.269 0.076 0.573
0.269 0.424 0.073
0.367 0.248 0.818
0.367 0.252 0.318
0.457 0.091 0.088
0.457 0.409 0.588
0.543 0.591 0.412
0.543 0.909 0.912
0.633 0.748 0.682
0.633 0.752 0.182
0.731 0.576 0.927
0.731 0.924 0.427
0.778 0.177 0.780
0.778 0.323 0.280
0.864 0.186 0.066
0.864 0.314 0.566
```